The following is a calculated powder diffraction line list of CePmHo2Er4. It was derived from the PBE geometry in Alexandria, using Cu Kα, 1.54184 Å.
Peak positions follow from Bragg's law for the DFT cell and can differ from measured ones.

Main lines, low angle first (10° ≤ 2θ ≤ 90°):
Position (°2θ)  I (rel.)
31.01  100
35.80  17
35.91  17
36.18  17
51.61  12
51.86  24
61.37  14
61.51  14
61.88  14
64.65  12

Cell and atoms:
Lattice parameters (Å, degrees): 5.0021 5.0162 9.9298 90.00 90.00 90.00
Positions (direct):
Ce: 0.0000 0.0000 0.0000
Pm: 0.5000 0.5000 0.5000
Ho: 0.0000 0.0000 0.5000
Ho: 0.5000 0.5000 0.0000
Er: 0.0000 0.5000 0.2469
Er: 0.0000 0.5000 0.7531
Er: 0.5000 0.0000 0.2472
Er: 0.5000 0.0000 0.7528